The following is a calculated X-ray diffraction stick pattern of LiHfPaS4. It was derived from a structure optimized by DFT (GGA-PBE), using copper Kα.
Lines closer than 0.1° are merged.

Cell lengths 7.661, 7.661, 7.661 Å; angles 122.54, 116.32, 91.08 degrees
Atoms (fractional coordinates):
Li 0.389 0.139 0.250
Li 0.611 0.861 0.750
Hf 0.000 0.000 0.500
Hf 0.000 0.500 0.000
Pa 0.000 0.500 0.500
Pa 0.500 0.500 0.000
S 0.222 0.247 0.975
S 0.228 0.753 0.475
S 0.241 0.244 0.503
S 0.241 0.738 0.997
S 0.759 0.262 0.003
S 0.759 0.756 0.497
S 0.772 0.247 0.525
S 0.778 0.753 0.025

The 10 most intense peaks (10° ≤ 2θ ≤ 80°), sorted by position:
2θ/deg	I (rel.)
13.7	83
14.6	100
26.5	53
27.7	58
27.9	27
29.4	28
32.9	82
33.4	40
44.8	24
47.6	59


The following is a calculated X-ray diffraction stick pattern of LiHf2Pd2. It was derived from a structure optimized by DFT (GGA-PBE), using copper Kα.
Lines closer than 0.1° are merged.

Cell lengths 7.977, 7.977, 3.005 Å; angles 90.00, 90.00, 90.00 degrees
Atoms (fractional coordinates):
Li 0.000 0.000 0.000
Li 0.500 0.500 0.000
Hf 0.156 0.344 0.000
Hf 0.344 0.844 0.000
Hf 0.656 0.156 0.000
Hf 0.844 0.656 0.000
Pd 0.140 0.640 0.500
Pd 0.360 0.140 0.500
Pd 0.640 0.860 0.500
Pd 0.860 0.360 0.500

The 10 most intense peaks (10° ≤ 2θ ≤ 80°), sorted by position:
2θ/deg	I (rel.)
15.7	48
22.3	16
25.0	9
35.6	35
39.2	100
45.5	18
48.4	18
51.3	9
56.6	13
70.9	30


The following is a calculated X-ray diffraction stick pattern of Li2Hf2Pd7. It was derived from a structure optimized by DFT (GGA-PBE), using copper Kα.
Lines closer than 0.1° are merged.

Cell lengths 5.560, 5.560, 6.672 Å; angles 101.55, 101.55, 75.00 degrees
Atoms (fractional coordinates):
Li 0.174 0.826 0.000
Li 0.826 0.174 0.000
Hf 0.298 0.298 0.468
Hf 0.702 0.702 0.532
Pd 0.000 0.000 0.500
Pd 0.028 0.436 0.794
Pd 0.436 0.028 0.794
Pd 0.478 0.478 0.196
Pd 0.522 0.522 0.804
Pd 0.564 0.972 0.206
Pd 0.972 0.564 0.206

The 10 most intense peaks (10° ≤ 2θ ≤ 80°), sorted by position:
2θ/deg	I (rel.)
13.7	67
16.7	53
20.8	64
29.8	84
33.8	59
38.5	58
38.9	100
40.0	59
42.0	61
47.7	49


The following is a calculated X-ray diffraction stick pattern of Li2HfZr2Pd5. It was derived from a structure optimized by DFT (GGA-PBE), using copper Kα.
Lines closer than 0.1° are merged.

Cell lengths 9.676, 9.676, 3.483 Å; angles 90.00, 90.00, 90.00 degrees
Atoms (fractional coordinates):
Li 0.122 0.378 0.000
Li 0.378 0.878 0.000
Li 0.622 0.122 0.000
Li 0.878 0.622 0.000
Hf 0.000 0.000 0.000
Hf 0.500 0.500 0.000
Zr 0.175 0.675 0.000
Zr 0.325 0.175 0.000
Zr 0.675 0.825 0.000
Zr 0.825 0.325 0.000
Pd 0.000 0.500 0.500
Pd 0.064 0.207 0.500
Pd 0.207 0.936 0.500
Pd 0.293 0.436 0.500
Pd 0.436 0.707 0.500
Pd 0.500 0.000 0.500
Pd 0.564 0.293 0.500
Pd 0.707 0.564 0.500
Pd 0.793 0.064 0.500
Pd 0.936 0.793 0.500

The 10 most intense peaks (10° ≤ 2θ ≤ 80°), sorted by position:
2θ/deg	I (rel.)
12.9	24
33.0	36
36.8	37
38.4	42
39.2	100
41.7	27
42.5	19
52.5	18
66.9	16
74.5	20


The following is a calculated X-ray diffraction stick pattern of LiHf2Pt4. It was derived from a structure optimized by DFT (GGA-PBE), using copper Kα.
Lines closer than 0.1° are merged.

Cell lengths 6.851, 6.283, 4.853 Å; angles 74.70, 62.19, 43.10 degrees
Atoms (fractional coordinates):
Li 0.000 0.000 0.000
Hf 0.361 0.361 0.639
Hf 0.639 0.639 0.361
Pt 0.000 0.000 0.500
Pt 0.250 0.250 0.250
Pt 0.500 0.500 0.000
Pt 0.750 0.750 0.750

The 10 most intense peaks (10° ≤ 2θ ≤ 80°), sorted by position:
2θ/deg	I (rel.)
20.9	38
22.6	27
30.8	29
39.1	100
39.5	92
45.5	62
46.1	32
51.4	14
66.8	49
79.6	25


The following is a calculated X-ray diffraction stick pattern of RbLiHf2. It was derived from a structure optimized by DFT (GGA-PBE), using copper Kα.
Lines closer than 0.1° are merged.

Cell lengths 13.278, 13.278, 13.278 Å; angles 162.02, 162.02, 25.53 degrees
Atoms (fractional coordinates):
Rb 0.000 0.000 0.000
Rb 0.750 0.250 0.500
Li 0.250 0.750 0.500
Li 0.500 0.500 0.000
Hf 0.135 0.125 0.510
Hf 0.375 0.865 0.990
Hf 0.615 0.625 0.490
Hf 0.875 0.385 0.010

The 10 most intense peaks (10° ≤ 2θ ≤ 80°), sorted by position:
2θ/deg	I (rel.)
13.7	88
27.6	57
31.3	100
37.0	64
45.9	52
46.8	33
59.0	17
62.0	21
72.4	18
75.8	16


The following is a calculated X-ray diffraction stick pattern of LiHfVRe2. It was derived from a structure optimized by DFT (GGA-PBE), using copper Kα.
Lines closer than 0.1° are merged.

Cell lengths 4.493, 4.493, 3.736 Å; angles 90.00, 90.00, 90.00 degrees
Atoms (fractional coordinates):
Li 0.000 0.000 0.000
Hf 0.500 0.500 0.500
V 0.000 0.000 0.500
Re 0.000 0.500 0.000
Re 0.500 0.000 0.000

The 10 most intense peaks (10° ≤ 2θ ≤ 80°), sorted by position:
2θ/deg	I (rel.)
19.8	10
28.1	5
31.1	8
37.1	100
40.1	42
48.7	12
58.1	14
64.9	20
71.0	30
79.1	12


The following is a calculated X-ray diffraction stick pattern of LiTbHfRh. It was derived from a structure optimized by DFT (GGA-PBE), using copper Kα.
Lines closer than 0.1° are merged.

Cell lengths 4.786, 4.786, 4.786 Å; angles 60.00, 60.00, 60.00 degrees
Atoms (fractional coordinates):
Li 0.000 0.000 0.000
Tb 0.250 0.250 0.250
Hf 0.750 0.750 0.750
Rh 0.500 0.500 0.500

The 10 most intense peaks (10° ≤ 2θ ≤ 80°), sorted by position:
2θ/deg	I (rel.)
22.8	13
26.3	31
37.6	100
44.4	7
46.5	9
54.2	17
59.5	3
61.3	12
67.8	35
72.6	2